1.
Diffraction record for Ce4Al23Ni6. The powder X-ray diffraction pattern is computed, not measured: it uses the GGA-PBE geometry in Alexandria and a wavelength of 1.5418 Å.

Structural model:
```
33
Lattice="8.010 -2.062 0.000 8.010 2.062 0.000 -7.203 0.000 16.791" Properties=species:S:1:pos:R:3 pbc="T T T"
Ce -1.810 0.000 6.845
Ce -1.876 0.000 13.135
Ce 10.692 0.000 3.656
Ce 10.626 0.000 9.946
Al -5.110 0.000 13.096
Al -5.662 0.000 15.765
Al 0.580 0.000 2.695
Al -2.317 0.000 10.013
Al 1.263 0.000 5.417
Al -2.968 0.000 16.012
Al 1.311 0.000 8.037
Al 4.703 0.000 2.399
Al -0.303 0.000 16.004
Al 1.382 0.000 12.120
Al 4.437 0.000 5.259
Al 4.408 0.000 8.395
Al 4.379 0.000 11.532
Al 7.434 0.000 4.671
Al 9.119 0.000 0.787
Al 4.113 0.000 14.392
Al 7.505 0.000 8.754
Al 11.784 0.000 0.778
Al 7.553 0.000 11.373
Al 11.134 0.000 6.778
Al 8.237 0.000 14.096
Al 14.478 0.000 1.026
Al 13.926 0.000 3.695
Ni 2.569 0.000 1.136
Ni 0.044 0.000 10.119
Ni 1.635 0.000 14.566
Ni 7.181 0.000 2.225
Ni 8.772 0.000 6.672
Ni 6.247 0.000 15.655
```

Peak list (6 most intense, 2θ from 15° to 90°, most intense first)
2θ 43.90, rel. 100; 2θ 37.29, rel. 97; 2θ 35.50, rel. 93; 2θ 30.10, rel. 91; 2θ 22.44, rel. 79; 2θ 36.84, rel. 66

2.
Diffraction record for TmSc2ReO8. The powder X-ray diffraction pattern is computed, not measured: it uses the GGA-PBE geometry in Alexandria and a wavelength of 1.5418 Å.

Structural model:
```
12
Lattice="3.425 -3.448 0.000 3.425 3.448 0.000 0.000 0.000 6.447" Properties=species:S:1:pos:R:3 pbc="T T T"
Tm 0.000 0.000 0.000
Sc 3.425 0.000 1.557
Sc 3.425 0.000 4.890
Re 0.000 0.000 3.224
O 3.425 2.138 1.848
O 3.425 2.138 4.599
O 1.909 0.000 3.224
O 2.146 0.000 0.000
O 4.704 0.000 0.000
O 4.941 0.000 3.224
O 3.425 -2.138 1.848
O 3.425 -2.138 4.599
```

Peak list (6 most intense, 2θ from 15° to 90°, most intense first)
2θ 33.35, rel. 100; 2θ 18.25, rel. 95; 2θ 25.84, rel. 65; 2θ 26.02, rel. 62; 2θ 50.56, rel. 43; 2θ 50.75, rel. 41

3.
Diffraction record for Li2CePN. The powder X-ray diffraction pattern is computed, not measured: it uses the GGA-PBE geometry in Alexandria and a wavelength of 1.5418 Å.

Structural model:
```
10
Lattice="-2.963 2.963 4.464 2.963 -2.963 4.464 2.963 2.963 -4.464" Properties=species:S:1:pos:R:3 pbc="T T T"
Li 3.952 0.988 0.000
Li 0.988 1.975 0.000
Li 1.975 0.988 4.464
Li -0.988 1.975 4.464
Ce 0.000 0.000 2.232
Ce 0.000 0.000 6.696
P 2.963 0.000 2.232
P 0.000 2.963 2.232
N 0.000 0.000 0.000
N 0.000 0.000 4.464
```

Peak list (6 most intense, 2θ from 15° to 90°, most intense first)
2θ 21.20, rel. 100; 2θ 30.16, rel. 95; 2θ 36.39, rel. 92; 2θ 19.89, rel. 87; 2θ 29.23, rel. 58; 2θ 51.24, rel. 41

4.
Diffraction record for LaDyTc. The powder X-ray diffraction pattern is computed, not measured: it uses the GGA-PBE geometry in Alexandria and a wavelength of 1.5418 Å.

Structural model:
```
12
Lattice="3.453 -6.461 0.000 3.453 6.461 0.000 0.000 0.000 7.329" Properties=species:S:1:pos:R:3 pbc="T T T"
La 3.453 3.751 6.549
La 3.453 2.710 2.885
La 3.453 -2.710 4.444
La 3.453 -3.751 0.779
Dy 1.727 0.356 5.497
Dy 1.727 -0.356 1.832
Dy 5.180 0.356 5.497
Dy 5.180 -0.356 1.832
Tc 3.453 4.980 3.865
Tc 3.453 1.481 0.201
Tc 3.453 -1.481 7.128
Tc 3.453 -4.980 3.464
```

Peak list (6 most intense, 2θ from 15° to 90°, most intense first)
2θ 29.33, rel. 100; 2θ 35.73, rel. 74; 2θ 39.20, rel. 51; 2θ 27.99, rel. 47; 2θ 30.23, rel. 40; 2θ 28.42, rel. 37

5.
Diffraction record for Ca2YHg3. The powder X-ray diffraction pattern is computed, not measured: it uses the GGA-PBE geometry in Alexandria and a wavelength of 1.5418 Å.

Structural model:
```
6
Lattice="3.786 0.000 0.000 0.000 3.786 0.000 0.000 0.000 11.191" Properties=species:S:1:pos:R:3 pbc="T T T"
Ca 0.000 0.000 1.881
Ca 0.000 0.000 9.310
Y 0.000 0.000 5.595
Hg 1.893 1.893 0.000
Hg 1.893 1.893 3.826
Hg 1.893 1.893 7.365
```

Peak list (6 most intense, 2θ from 15° to 90°, most intense first)
2θ 33.73, rel. 100; 2θ 33.47, rel. 52; 2θ 60.00, rel. 38; 2θ 23.49, rel. 36; 2θ 48.06, rel. 19; 2θ 60.50, rel. 18

6.
Diffraction record for LiSb3O. The powder X-ray diffraction pattern is computed, not measured: it uses the GGA-PBE geometry in Alexandria and a wavelength of 1.5418 Å.

Structural model:
```
5
Lattice="4.806 0.000 0.000 0.000 4.806 0.000 0.000 0.000 4.806" Properties=species:S:1:pos:R:3 pbc="T T T"
Li 0.000 0.000 0.000
Sb 0.000 2.403 2.403
Sb 2.403 0.000 2.403
Sb 2.403 2.403 0.000
O 2.403 2.403 2.403
```

Peak list (6 most intense, 2θ from 15° to 90°, most intense first)
2θ 32.26, rel. 100; 2θ 37.42, rel. 60; 2θ 18.46, rel. 44; 2θ 64.28, rel. 41; 2θ 53.96, rel. 40; 2θ 42.04, rel. 20

Repeat the first record exactly.
Diffraction record for Ce4Al23Ni6. The powder X-ray diffraction pattern is computed, not measured: it uses the GGA-PBE geometry in Alexandria and a wavelength of 1.5418 Å.

Structural model:
```
33
Lattice="8.010 -2.062 0.000 8.010 2.062 0.000 -7.203 0.000 16.791" Properties=species:S:1:pos:R:3 pbc="T T T"
Ce -1.810 0.000 6.845
Ce -1.876 0.000 13.135
Ce 10.692 0.000 3.656
Ce 10.626 0.000 9.946
Al -5.110 0.000 13.096
Al -5.662 0.000 15.765
Al 0.580 0.000 2.695
Al -2.317 0.000 10.013
Al 1.263 0.000 5.417
Al -2.968 0.000 16.012
Al 1.311 0.000 8.037
Al 4.703 0.000 2.399
Al -0.303 0.000 16.004
Al 1.382 0.000 12.120
Al 4.437 0.000 5.259
Al 4.408 0.000 8.395
Al 4.379 0.000 11.532
Al 7.434 0.000 4.671
Al 9.119 0.000 0.787
Al 4.113 0.000 14.392
Al 7.505 0.000 8.754
Al 11.784 0.000 0.778
Al 7.553 0.000 11.373
Al 11.134 0.000 6.778
Al 8.237 0.000 14.096
Al 14.478 0.000 1.026
Al 13.926 0.000 3.695
Ni 2.569 0.000 1.136
Ni 0.044 0.000 10.119
Ni 1.635 0.000 14.566
Ni 7.181 0.000 2.225
Ni 8.772 0.000 6.672
Ni 6.247 0.000 15.655
```

Peak list (6 most intense, 2θ from 15° to 90°, most intense first)
2θ 43.90, rel. 100; 2θ 37.29, rel. 97; 2θ 35.50, rel. 93; 2θ 30.10, rel. 91; 2θ 22.44, rel. 79; 2θ 36.84, rel. 66

Repeat the third record exactly.
Diffraction record for Li2CePN. The powder X-ray diffraction pattern is computed, not measured: it uses the GGA-PBE geometry in Alexandria and a wavelength of 1.5418 Å.

Structural model:
```
10
Lattice="-2.963 2.963 4.464 2.963 -2.963 4.464 2.963 2.963 -4.464" Properties=species:S:1:pos:R:3 pbc="T T T"
Li 3.952 0.988 0.000
Li 0.988 1.975 0.000
Li 1.975 0.988 4.464
Li -0.988 1.975 4.464
Ce 0.000 0.000 2.232
Ce 0.000 0.000 6.696
P 2.963 0.000 2.232
P 0.000 2.963 2.232
N 0.000 0.000 0.000
N 0.000 0.000 4.464
```

Peak list (6 most intense, 2θ from 15° to 90°, most intense first)
2θ 21.20, rel. 100; 2θ 30.16, rel. 95; 2θ 36.39, rel. 92; 2θ 19.89, rel. 87; 2θ 29.23, rel. 58; 2θ 51.24, rel. 41

Question: What is the formula in the second record?
Answer: TmSc2ReO8